Starting from a PBE-relaxed structure, the powder X-ray diffraction pattern of SnPd5Au was simulated for CuKα.
Neutral-atom scattering factors, no anomalous dispersion.

Structural model:
```
data_SnPd5Au
_symmetry_space_group_name_H-M 'P 4/m m m'
_symmetry_Int_Tables_number 123
_symmetry_space_group_name_Hall '-P 4 2'
_cell_length_a 3.9809
_cell_length_b 3.9809
_cell_length_c 7.7466
_cell_angle_alpha 90.00
_cell_angle_beta 90.00
_cell_angle_gamma 90.00
loop_
_atom_site_label
_atom_site_type_symbol
_atom_site_fract_x
_atom_site_fract_y
_atom_site_fract_z
Sn1 Sn 0.0000 0.0000 0.0000
Pd1 Pd 0.0000 0.0000 0.5000
Pd2 Pd 0.0000 0.5000 0.2336
Au1 Au 0.5000 0.5000 0.5000
```

The 12 most intense peaks (2θ from 10° to 90°), in order of rising 2θ:
- hkl 0 0 1, 2θ = 11.42°, I 129
- hkl 1 0 1, 2θ = 25.15°, I 196
- hkl 1 1 1, 2θ = 33.88°, I 111
- hkl 1 1 2, 2θ = 39.58°, I 1000
- hkl 2 0 0, 2θ = 45.57°, I 341
- hkl 0 0 4, 2θ = 46.91°, I 144
- hkl 2 1 1, 2θ = 52.76°, I 56
- hkl 2 2 0, 2θ = 66.42°, I 110
- hkl 2 0 4, 2θ = 67.48°, I 193
- hkl 3 1 2, 2θ = 80.17°, I 256
- hkl 1 1 6, 2θ = 82.13°, I 102
- hkl 2 2 4, 2θ = 85.24°, I 105